(1)
# CsBa3Ag4Cl12
Calculated powder X-ray diffraction pattern, Cu Kα (λ = 1.5418 Å). Input: the GGA-PBE geometry in Alexandria.

Main lines, in order of rising 2θ (2θ = 5–70°):
d (Å), 2θ/deg, intensity
4.634, 19.15, 32
4.425, 20.07, 100
3.844, 23.14, 23
3.528, 25.24, 17
2.904, 30.79, 13
2.716, 32.98, 14
2.704, 33.13, 24
2.430, 36.99, 12
2.343, 38.41, 28
2.134, 42.36, 21

Structural model:
```
20
Lattice="7.694 4.442 3.944 -7.694 4.442 3.944 0.000 -8.884 3.944" Properties=species:S:1:pos:R:3 pbc="T T T"
Cs 0.000 0.000 0.000
Ba -4.256 -1.513 3.944
Ba 3.438 -2.929 3.944
Ba 0.818 4.442 3.944
Ag -3.322 -5.753 5.916
Ag 0.000 0.000 5.916
Ag -3.322 5.753 5.916
Ag 6.644 0.000 5.916
Cl -1.696 -2.143 2.337
Cl -6.154 0.000 5.916
Cl -1.008 2.540 2.337
Cl -2.481 0.000 5.916
Cl 2.703 -0.397 2.337
Cl 3.077 -5.329 5.916
Cl 1.240 -2.148 5.916
Cl -1.008 -2.540 9.496
Cl 1.240 2.148 5.916
Cl -1.696 2.143 9.496
Cl 3.077 5.329 5.916
Cl 2.703 0.397 9.496
```


(2)
# Ba3P2
Calculated powder X-ray diffraction pattern, Cu Kα (λ = 1.5418 Å). Input: the GGA-PBE geometry in Alexandria.

Main lines, in order of rising 2θ (2θ = 5–70°):
d (Å), 2θ/deg, intensity
4.043, 21.98, 44
3.501, 25.44, 36
3.132, 28.50, 100
2.647, 33.86, 64
2.022, 44.83, 23
1.942, 46.77, 49
1.607, 57.35, 19
1.566, 58.98, 11
1.528, 60.59, 16
1.348, 69.79, 11

Structural model:
```
40
Lattice="-4.954 4.954 14.845 4.954 -4.954 14.845 4.954 4.954 -14.845" Properties=species:S:1:pos:R:3 pbc="T T T"
Ba 3.060 -0.656 4.150
Ba 5.609 -1.894 10.695
Ba 1.645 -0.828 8.003
Ba 4.126 1.645 0.580
Ba 4.298 3.060 -3.273
Ba 6.848 0.656 4.150
Ba 0.572 1.891 1.904
Ba 3.309 5.782 -6.842
Ba 3.309 -0.828 14.265
Ba 0.572 3.063 5.519
Ba 1.894 -0.656 18.118
Ba 4.298 1.894 10.695
Ba 1.645 5.782 -0.580
Ba 4.126 3.309 6.842
Ba 0.656 1.894 11.572
Ba 3.060 5.609 3.273
Ba -1.891 4.382 9.326
Ba 0.828 3.309 15.425
Ba 1.891 5.526 9.326
Ba -0.572 8.016 1.904
Ba -0.572 6.845 5.519
Ba -3.063 4.382 12.941
Ba 0.828 1.645 21.687
Ba 3.063 5.526 12.941
P 3.568 2.594 -6.292
P 0.000 0.000 4.874
P 7.313 1.385 1.131
P 1.385 2.594 -1.131
P 2.477 -1.209 11.134
P 3.745 2.477 3.711
P 2.477 6.162 -3.711
P 1.385 2.359 8.553
P 2.359 -1.385 21.137
P 0.000 4.954 2.549
P 3.568 2.359 13.714
P 0.000 0.000 24.816
P 2.594 6.339 6.292
P 1.209 2.477 18.556
P -2.359 3.568 15.976
P 0.000 4.954 12.296
```


(3)
# B7C3
Calculated powder X-ray diffraction pattern, Cu Kα (λ = 1.5418 Å). Input: the GGA-PBE geometry in Alexandria.

Main lines, in order of rising 2θ (2θ = 5–70°):
d (Å), 2θ/deg, intensity
11.811, 7.48, 36
5.906, 15.00, 54
3.937, 22.58, 4
2.953, 30.27, 4
2.232, 40.42, 100
2.073, 43.67, 82
1.733, 52.84, 3
1.638, 56.16, 3
1.476, 62.96, 6
1.383, 67.78, 54

Structural model:
```
10
Lattice="-1.153 1.266 11.811 1.153 -1.266 11.811 1.153 1.266 -11.811" Properties=species:S:1:pos:R:3 pbc="T T T"
B 0.000 0.000 0.000
B 1.153 0.000 2.993
B 0.000 0.000 4.373
B 0.000 0.000 9.173
B 0.000 1.266 5.634
B 0.000 0.000 18.850
B 0.000 1.266 10.440
C 1.153 0.000 7.993
C 0.000 1.266 1.063
C 0.000 0.000 13.743
```


(4)
# RbMnBr2Cl
Calculated powder X-ray diffraction pattern, Cu Kα (λ = 1.5418 Å). Input: the GGA-PBE geometry in Alexandria.

Main lines, in order of rising 2θ (2θ = 5–70°):
d (Å), 2θ/deg, intensity
6.012, 14.73, 26
3.888, 22.87, 34
3.114, 28.67, 46
3.091, 28.88, 100
3.006, 29.72, 54
2.549, 35.21, 54
2.512, 35.74, 25
2.132, 42.41, 37
1.944, 46.73, 37
1.752, 52.22, 29

Structural model:
```
10
Lattice="-3.604 3.604 6.012 3.604 -3.604 6.012 3.604 3.604 -6.012" Properties=species:S:1:pos:R:3 pbc="T T T"
Rb 3.604 0.000 0.000
Rb 0.000 3.604 0.000
Mn 0.000 0.000 3.479
Mn 0.000 0.000 9.491
Br 2.192 -1.412 2.924
Br 5.016 1.412 2.924
Br 1.412 2.192 2.924
Br -1.412 5.016 2.924
Cl 0.000 0.000 5.831
Cl 0.000 0.000 11.844
```


(5)
# Ac3Pm4Si3
Calculated powder X-ray diffraction pattern, Cu Kα (λ = 1.5418 Å). Input: the GGA-PBE geometry in Alexandria.

Main lines, in order of rising 2θ (2θ = 5–70°):
d (Å), 2θ/deg, intensity
3.429, 25.98, 90
2.898, 30.85, 100
2.425, 37.08, 32
2.312, 38.96, 16
2.214, 40.76, 18
2.127, 42.51, 13
1.759, 51.98, 33
1.715, 53.44, 14
1.673, 54.87, 18
1.476, 62.99, 19

Structural model:
```
20
Lattice="-5.422 5.422 5.422 5.422 -5.422 5.422 5.422 5.422 -5.422" Properties=species:S:1:pos:R:3 pbc="T T T"
Ac 5.422 -2.711 4.066
Ac 4.066 5.422 -2.711
Ac 5.422 2.711 1.355
Ac 2.711 1.355 5.422
Ac 1.355 5.422 2.711
Ac -2.711 4.066 5.422
Pm 3.611 1.811 -1.811
Pm 6.322 -0.900 0.900
Pm 1.811 -1.811 3.611
Pm 1.811 1.811 1.811
Pm -1.811 3.611 1.811
Pm 0.900 6.322 -0.900
Pm -0.900 0.900 6.322
Pm 4.522 4.522 4.522
Si 8.133 1.355 0.000
Si 4.066 0.000 2.711
Si 2.711 4.066 0.000
Si 0.000 2.711 4.066
Si 1.355 0.000 8.133
Si 0.000 8.133 1.355
```


(6)
# DyGa7Cu12
Calculated powder X-ray diffraction pattern, Cu Kα (λ = 1.5418 Å). Input: the GGA-PBE geometry in Alexandria.

Main lines, in order of rising 2θ (2θ = 5–70°):
d (Å), 2θ/deg, intensity
2.734, 32.75, 30
2.525, 35.56, 59
2.508, 35.80, 40
2.380, 37.79, 17
2.196, 41.09, 41
2.129, 42.45, 38
2.099, 43.09, 100
2.074, 43.64, 65
1.970, 46.08, 20
1.495, 62.09, 28

Structural model:
```
20
Lattice="6.298 3.636 2.129 -6.298 3.636 2.129 0.000 -7.272 2.129" Properties=species:S:1:pos:R:3 pbc="T T T"
Dy 0.000 0.000 0.000
Ga 0.000 -2.511 1.940
Ga -2.174 1.255 1.940
Ga -2.174 -1.255 4.448
Ga 0.000 0.000 3.194
Ga 2.174 1.255 1.940
Ga 2.174 -1.255 4.448
Ga 0.000 2.511 4.448
Cu -1.704 -4.322 2.129
Cu -4.594 0.685 2.129
Cu -2.135 -1.233 1.819
Cu 1.704 -4.322 2.129
Cu -2.891 3.636 2.129
Cu 2.135 -1.233 1.819
Cu 0.000 2.465 1.819
Cu 0.000 -2.465 4.569
Cu -2.135 1.233 4.569
Cu 4.594 0.685 2.129
Cu 2.891 3.636 2.129
Cu 2.135 1.233 4.569
```


(7)
# Dy5GaPd2
Calculated powder X-ray diffraction pattern, Cu Kα (λ = 1.5418 Å). Input: the GGA-PBE geometry in Alexandria.

Main lines, in order of rising 2θ (2θ = 5–70°):
d (Å), 2θ/deg, intensity
3.354, 26.57, 13
2.834, 31.57, 13
2.728, 32.83, 100
2.518, 35.66, 22
2.454, 36.61, 48
1.731, 52.88, 12
1.641, 56.05, 11
1.601, 57.57, 12
1.372, 68.38, 13
1.370, 68.49, 15

Structural model:
```
16
Lattice="-3.881 3.881 6.618 3.881 -3.881 6.618 3.881 3.881 -6.618" Properties=species:S:1:pos:R:3 pbc="T T T"
Dy 0.000 0.000 0.000
Dy 5.125 1.245 -1.913
Dy 1.245 2.636 -1.913
Dy 5.125 1.245 1.913
Dy 1.245 2.636 1.913
Dy 0.000 0.000 6.618
Dy 2.636 1.245 4.705
Dy -1.245 2.636 4.705
Dy 2.636 1.245 8.532
Dy -1.245 2.636 8.532
Ga 0.000 0.000 3.309
Ga 0.000 0.000 9.927
Pd 2.846 1.035 0.000
Pd 2.846 -1.035 6.618
Pd 1.035 4.915 0.000
Pd 1.035 2.846 6.618
```


(8)
# TbPmNdAl
Calculated powder X-ray diffraction pattern, Cu Kα (λ = 1.5418 Å). Input: the GGA-PBE geometry in Alexandria.

Main lines, in order of rising 2θ (2θ = 5–70°):
d (Å), 2θ/deg, intensity
3.432, 25.96, 17
2.802, 31.94, 100
2.433, 36.94, 17
2.426, 37.06, 17
2.420, 37.16, 17
1.717, 53.36, 23
1.466, 63.45, 14
1.463, 63.60, 14
1.460, 63.73, 14
1.401, 66.78, 12

Structural model:
```
4
Lattice="4.840 0.000 0.000 0.000 4.852 0.000 0.000 0.000 4.866" Properties=species:S:1:pos:R:3 pbc="T T T"
Tb 0.000 0.000 0.000
Pm 0.000 2.426 2.433
Nd 2.420 0.000 2.433
Al 2.420 2.426 0.000
```


(9)
# K3UF6
Calculated powder X-ray diffraction pattern, Cu Kα (λ = 1.5418 Å). Input: the GGA-PBE geometry in Alexandria.

Main lines, in order of rising 2θ (2θ = 5–70°):
d (Å), 2θ/deg, intensity
5.781, 15.33, 100
5.182, 17.11, 33
4.704, 18.87, 18
3.664, 24.29, 63
3.483, 25.58, 54
3.095, 28.85, 20
2.886, 30.99, 28
2.591, 34.62, 17
2.079, 43.54, 36
1.979, 45.85, 22

Structural model:
```
10
Lattice="-3.664 3.664 4.704 3.664 -3.664 4.704 3.664 3.664 -4.704" Properties=species:S:1:pos:R:3 pbc="T T T"
K 0.000 0.000 0.000
K 3.664 0.000 2.352
K 0.000 3.664 2.352
U 0.000 0.000 4.704
F 3.664 1.424 0.000
F 0.000 0.000 2.437
F 1.424 3.664 0.000
F 2.240 0.000 4.704
F 0.000 0.000 6.970
F 0.000 2.240 4.704
```


(10)
# La7Tm2Sc2
Calculated powder X-ray diffraction pattern, Cu Kα (λ = 1.5418 Å). Input: the GGA-PBE geometry in Alexandria.

Main lines, in order of rising 2θ (2θ = 5–70°):
d (Å), 2θ/deg, intensity
3.749, 23.73, 21
3.296, 27.06, 24
3.262, 27.34, 21
2.999, 29.80, 21
2.892, 30.92, 100
2.797, 32.00, 70
2.734, 32.76, 45
2.707, 33.09, 65
2.692, 33.29, 28
1.565, 59.02, 26

Structural model:
```
11
Lattice="4.222 -5.468 0.000 4.222 5.468 0.000 -1.727 0.000 8.131" Properties=species:S:1:pos:R:3 pbc="T T T"
La 0.000 0.000 0.000
La 1.050 2.417 6.646
La 0.890 0.000 3.921
La 5.667 2.417 1.485
La 1.050 -2.417 6.646
La 5.828 0.000 4.210
La 5.667 -2.417 1.485
Tm 3.303 0.000 1.477
Tm 3.414 0.000 6.653
Sc 3.359 2.287 4.065
Sc 3.359 -2.287 4.065
```